Starting from a cell relaxed with GGA-PBE, the powder diffraction line list of Sm3YH8 was calculated for Cu Kα, 1.54184 Å.
No peak broadening, texture or thermal motion is included.

Structure:
Cell: 5.322 5.322 5.322 Å, 90.00 90.00 90.00°
Sites, in units of the cell vectors:
Sm1 0.000 0.000 0.500
Sm2 0.000 0.500 0.000
Sm3 0.500 0.000 0.000
Y1 0.500 0.500 0.500
H1 0.255 0.255 0.255
H2 0.255 0.255 0.745
H3 0.255 0.745 0.255
H4 0.255 0.745 0.745
H5 0.745 0.255 0.255
H6 0.745 0.255 0.745
H7 0.745 0.745 0.255
H8 0.745 0.745 0.745

Peak list (8 most intense, 10 to 80 degrees two-theta, in order of rising 2θ)
2θ = 16.66°, I = 3.1
2θ = 29.06°, I = 100.0
2θ = 33.68°, I = 48.6
2θ = 48.37°, I = 37.8
2θ = 57.43°, I = 43.8
2θ = 60.24°, I = 12.3
2θ = 70.82°, I = 5.9
2θ = 78.31°, I = 17.6

=====

Starting from a cell relaxed with GGA-PBE, the powder diffraction line list of Nd3GaGe4 was calculated for Cu Kα, 1.54184 Å.
No peak broadening, texture or thermal motion is included.

Structure:
Cell: 8.456 8.456 8.456 Å, 149.29 138.14 52.80°
Sites, in units of the cell vectors:
Nd1 0.000 0.000 0.000
Nd2 0.314 0.814 0.500
Nd3 0.686 0.186 0.500
Ga1 0.500 0.500 0.000
Ge1 0.078 0.374 0.704
Ge2 0.330 0.626 0.704
Ge3 0.670 0.374 0.296
Ge4 0.922 0.626 0.296

Peak list (8 most intense, 10 to 80 degrees two-theta, in order of rising 2θ)
2θ = 22.96°, I = 34.4
2θ = 27.45°, I = 100.0
2θ = 34.39°, I = 31.2
2θ = 35.79°, I = 41.0
2θ = 36.37°, I = 35.4
2θ = 38.11°, I = 25.2
2θ = 40.24°, I = 63.0
2θ = 54.79°, I = 22.9

=====

Starting from a cell relaxed with GGA-PBE, the powder diffraction line list of TbCd3Ag2 was calculated for Cu Kα, 1.54184 Å.
No peak broadening, texture or thermal motion is included.

Structure:
Cell: 8.963 8.963 7.460 Å, 108.93 108.93 28.42°
Sites, in units of the cell vectors:
Tb1 0.112 0.112 0.160
Tb2 0.888 0.888 0.840
Cd1 0.071 0.071 0.676
Cd2 0.306 0.306 0.086
Cd3 0.369 0.369 0.512
Cd4 0.631 0.631 0.488
Cd5 0.694 0.694 0.914
Cd6 0.929 0.929 0.324
Ag1 0.241 0.241 0.668
Ag2 0.483 0.483 0.167
Ag3 0.517 0.517 0.833
Ag4 0.759 0.759 0.332

Peak list (8 most intense, 10 to 80 degrees two-theta, in order of rising 2θ)
2θ = 32.44°, I = 49.7
2θ = 33.04°, I = 90.7
2θ = 34.13°, I = 44.0
2θ = 34.50°, I = 100.0
2θ = 36.80°, I = 25.1
2θ = 37.30°, I = 22.4
2θ = 39.20°, I = 27.6
2θ = 41.02°, I = 64.0

=====

Which formula does entry 3 have? TbCd3Ag2